No. 1
Simulated powder diffractogram of CaDy12Tm5 for Cu Ka, from a crystal structure in Alexandria, relaxed with PBE.
Lines closer than 0.1° are merged.

Principal peaks in the range 2θ = 5–70°, sorted by position:
2θ/deg	intensity
8.3	2.9
11.8	1.1
16.7	0.6
18.7	0.7
30.9	100.0
32.1	0.6
35.9	50.5
51.6	23.8
51.7	11.9
61.3	14.1
61.4	28.2
64.4	12.2

Structure:
```
CaDy12Tm5
1.0
10.6225 0.0000 0.0000
0.0000 5.0042 0.0000
-0.0259 0.0000 10.6381
Ca Dy Tm
1 12 5
Cartesian
0.0000 0.0000 0.0000
-0.0111 0.0000 7.0450
1.7584 2.5021 5.3243
1.8280 2.5021 1.8359
3.5392 0.0000 3.5530
3.5625 0.0000 10.6323
5.2839 2.5021 8.8647
5.3127 2.5021 1.7734
7.0341 0.0000 0.0058
7.0574 0.0000 7.0852
8.7687 2.5021 8.8023
8.8382 2.5021 5.3139
10.6078 0.0000 3.5931
1.8138 2.5021 8.8000
3.5271 0.0000 7.0887
5.2983 2.5021 5.3191
7.0695 0.0000 3.5494
8.7829 2.5021 1.8381
```

---

No. 2
Simulated powder diffractogram of CaDyY4Tm2 for Cu Ka, from a crystal structure in Alexandria, relaxed with PBE.
Lines closer than 0.1° are merged.

Principal peaks in the range 2θ = 5–70°, sorted by position:
2θ/deg	intensity
9.9	34.5
20.0	10.2
26.7	68.9
30.0	49.4
30.2	100.0
40.5	43.3
40.7	87.9
60.6	24.8
61.0	13.2
63.9	11.4
64.0	22.3
69.4	17.4

Structure:
```
CaDyY4Tm2
1.0
6.8702 -6.6804 0.0000
6.8702 6.6804 0.0000
-3.3829 0.0000 5.9260
Ca Dy Y Tm
2 2 8 4
Cartesian
0.0000 0.0000 0.0000
-1.6915 0.0000 2.9630
3.4351 3.3402 0.0000
1.7436 -3.3402 2.9630
3.4854 3.2661 5.9203
5.1806 3.2661 2.9687
1.9165 0.0296 3.0759
3.6079 -0.0296 0.1129
6.7495 0.0296 5.8131
8.4410 -0.0296 2.8501
5.1768 -3.2661 2.9573
6.8721 -3.2661 0.0057
1.7436 3.3402 2.9630
3.4351 -3.3402 0.0000
6.8702 0.0000 0.0000
5.1787 0.0000 2.9630
```

---

No. 3
Simulated powder diffractogram of CaDy6Y2 for Cu Ka, from a crystal structure in Alexandria, relaxed with PBE.
Lines closer than 0.1° are merged.

Principal peaks in the range 2θ = 5–70°, sorted by position:
2θ/deg	intensity
13.6	4.4
18.2	3.5
28.3	23.8
31.4	24.3
32.4	100.0
42.8	15.7
50.1	19.8
56.6	20.6
58.5	3.1
60.3	22.3
61.0	16.1
67.9	3.9

Structure:
```
CaDy6Y2
1.0
9.6380 0.0000 0.0000
0.0000 5.6980 0.0000
-2.0651 0.0000 10.7293
Ca Dy Y
2 12 4
Cartesian
1.3801 1.4245 3.9648
6.1928 4.2735 6.7645
0.6543 4.2735 1.9404
0.0311 4.2735 5.5979
-0.6440 4.2735 9.1610
0.6561 1.4245 7.5813
2.6957 4.2735 7.9476
3.4737 4.2735 4.3385
4.0993 1.4245 6.3907
4.8772 1.4245 2.7817
6.9169 4.2735 3.1480
8.2170 1.4245 1.5683
7.5419 1.4245 5.1314
6.9186 1.4245 8.7888
2.0802 1.4245 0.3714
4.1297 4.2735 0.8158
3.4433 1.4245 9.9134
5.4927 4.2735 10.3578
```

---

No. 4
Simulated powder diffractogram of CaDyY for Cu Ka, from a crystal structure in Alexandria, relaxed with PBE.
Lines closer than 0.1° are merged.

Principal peaks in the range 2θ = 5–70°, sorted by position:
2θ/deg	intensity
11.3	39.7
25.1	15.6
29.9	100.0
34.5	15.8
34.8	34.1
36.7	10.2
38.0	14.1
49.8	21.8
50.1	12.0
59.0	11.4
59.4	32.8
62.2	11.0

Structure:
```
CaDyY
1.0
-1.8217 1.8217 7.8004
1.8217 -1.8217 7.8004
1.8217 1.8217 -7.8004
Ca Dy Y
1 1 1
Cartesian
0.0000 0.0000 0.0000
0.0000 0.0000 5.0623
0.0000 0.0000 10.5614
```

---

No. 5
Simulated powder diffractogram of Ca2DyY2 for Cu Ka, from a crystal structure in Alexandria, relaxed with PBE.
Lines closer than 0.1° are merged.

Principal peaks in the range 2θ = 5–70°, sorted by position:
2θ/deg	intensity
5.8	100.0
28.9	22.3
29.1	17.4
30.6	45.4
33.3	28.9
36.9	20.0
50.0	12.5
50.7	11.4
56.1	5.0
58.9	13.5
59.8	6.5
61.8	5.7

Structure:
```
Ca2DyY2
1.0
3.1581 -1.8231 0.0000
3.1581 1.8231 0.0000
-0.0035 0.0000 15.3559
Ca Dy Y
2 1 2
Cartesian
1.0450 0.0000 5.9995
5.2677 0.0000 9.3564
3.1581 0.0000 0.0000
1.0389 0.0000 12.5203
5.2739 0.0000 2.8356
```

---

No. 6
Simulated powder diffractogram of CaDy6Y3 for Cu Ka, from a crystal structure in Alexandria, relaxed with PBE.
Lines closer than 0.1° are merged.

Principal peaks in the range 2θ = 5–70°, sorted by position:
2θ/deg	intensity
8.3	39.2
30.3	27.9
30.5	48.8
30.8	66.8
31.6	65.5
32.3	100.0
33.2	40.8
34.3	34.3
51.6	19.6
61.3	20.7
61.8	19.3
62.2	24.5

Structure:
```
CaDy6Y3
1.0
11.9621 0.0000 0.0000
0.0000 3.5417 0.0000
-3.9154 0.0000 15.5172
Ca Dy Y
2 12 6
Cartesian
1.3477 0.8854 0.9549
6.6990 2.6563 14.5623
-0.4635 0.8854 7.1352
-1.9340 2.6563 13.2174
0.7406 2.6563 4.2366
1.6127 2.6563 9.5466
1.1043 0.8854 12.7586
4.5026 2.6563 0.2886
3.5441 0.8854 15.2286
6.9424 2.6563 2.7586
6.4339 0.8854 5.9706
7.3061 0.8854 11.2806
9.9807 0.8854 2.2999
8.5102 2.6563 8.3820
-1.2624 0.8854 10.3909
2.8873 0.8854 6.6773
3.9013 0.8854 3.3733
4.1454 2.6563 12.1439
5.1594 2.6563 8.8400
9.3091 2.6563 5.1263
```

---

No. 7
Simulated powder diffractogram of CaDyZn4 for Cu Ka, from a crystal structure in Alexandria, relaxed with PBE.
Lines closer than 0.1° are merged.

Principal peaks in the range 2θ = 5–70°, sorted by position:
2θ/deg	intensity
11.6	32.1
22.2	16.6
27.7	31.1
32.7	100.0
36.5	62.8
43.6	43.3
47.1	32.7
52.5	10.7
58.2	31.5
63.4	13.6
66.1	22.8
69.4	9.0

Structure:
```
CaDyZn4
1.0
-2.0756 2.0756 7.6313
2.0756 -2.0756 7.6313
2.0756 2.0756 -7.6313
Ca Dy Zn
1 1 4
Cartesian
0.0000 0.0000 0.0000
0.0000 2.0756 3.8157
2.0756 0.0000 2.5862
2.0756 0.0000 5.0451
0.0000 0.0000 6.3630
0.0000 0.0000 8.8996
```

---

No. 8
Simulated powder diffractogram of CaDyZn17 for Cu Ka, from a crystal structure in Alexandria, relaxed with PBE.
Lines closer than 0.1° are merged.

Principal peaks in the range 2θ = 5–70°, sorted by position:
2θ/deg	intensity
13.2	17.8
28.4	12.9
34.5	35.2
35.6	26.0
40.0	60.6
40.3	100.0
41.1	48.9
41.3	23.2
45.2	55.6
45.9	12.0
58.7	19.3
65.7	16.2

Structure:
```
CaDyZn17
1.0
4.5084 2.6029 4.3954
-4.5084 2.6029 4.3954
0.0000 -5.2058 4.3954
Ca Dy Zn
1 1 17
Cartesian
0.0000 0.0000 0.0000
0.0000 0.0000 4.3292
0.0000 -2.5114 2.3392
-2.1749 1.2557 2.3392
-2.2545 -1.3017 6.5461
0.0000 -2.6590 6.3625
-2.3028 1.3295 6.3625
-1.3387 -2.3214 8.7489
-2.6798 0.0013 8.7489
2.1749 1.2557 2.3392
0.0000 0.0000 7.4199
2.2545 -1.3017 6.5461
1.3387 -2.3214 8.7489
0.0000 2.6033 6.5461
-1.3410 2.3201 8.7489
0.0000 0.0000 10.0557
2.3028 1.3295 6.3625
2.6798 0.0013 8.7489
1.3410 2.3201 8.7489
```